For TlIF4, a structure optimized by DFT (PBE) gives the calculated PXRD pattern in this record (a wavelength of 1.5418 Å).

Atomic structure:
abc: 7.217 7.217 8.629
angles: 105.83 105.83 43.63
Element x y z (fractional)
Tl  0.174  0.826  0.750
Tl  0.826  0.174  0.250
I  0.000  0.500  0.000
I  0.500  0.000  0.500
F  0.064  0.189  0.044
F  0.189  0.064  0.544
F  0.308  0.404  0.175
F  0.404  0.308  0.675
F  0.596  0.692  0.325
F  0.692  0.596  0.825
F  0.811  0.936  0.456
F  0.936  0.811  0.956

Top 12 peaks for 10 to 90 degrees two-theta, by angle:
- 4.947 Å, 17.93 deg, I 9.1
- 4.047 Å, 21.96 deg, I 100.0
- 3.378 Å, 26.38 deg, I 36.5
- 3.202 Å, 27.86 deg, I 11.0
- 3.080 Å, 28.99 deg, I 15.6
- 2.528 Å, 35.51 deg, I 16.3
- 2.236 Å, 40.34 deg, I 8.0
- 2.087 Å, 43.35 deg, I 11.1
- 2.060 Å, 43.96 deg, I 16.2
- 2.056 Å, 44.04 deg, I 9.1
- 2.024 Å, 44.78 deg, I 11.0
- 1.918 Å, 47.40 deg, I 10.0